Structure and theoretical XRD peak list of CsCaMnO4 (a cell relaxed with PBE+U; Cu Kα (λ = 1.5418 Å)).

Atomic structure:
```
CsCaMnO4
1.0
0.000 4.478 4.478
4.478 0.000 4.478
4.478 4.478 0.000
Cs Ca Mn O
1 1 1 4
direct
0.000 0.000 0.000
0.750 0.750 0.750
0.500 0.500 0.500
0.169 0.610 0.610
0.610 0.169 0.610
0.610 0.610 0.169
0.610 0.610 0.610
```

Largest 10 diffraction maxima, in order of rising 2θ, 10 to 90 degrees two-theta:
| 2theta | I (rel.) |
| --- | --- |
| 17.1 | 23 |
| 19.8 | 54 |
| 28.2 | 100 |
| 33.2 | 22 |
| 34.7 | 18 |
| 45.3 | 18 |
| 49.9 | 38 |
| 58.3 | 17 |
| 66.0 | 15 |
| 80.2 | 19 |